Starting from a cell relaxed with GGA-PBE, the XRD peak list of Tb4PrTh2 was calculated for Cu Kα X-rays.
Peak positions follow from Bragg's law for the DFT cell and can differ from measured ones.

Main lines, most intense first (10 to 90 degrees two-theta):
index	two_theta	Rel. int.
1 1 -2	32.07	100
0 0 4	31.97	89
1 1 2	34.41	88
1 1 -1	29.50	49
2 0 0	29.63	40
0 2 4	61.57	38
2 0 -3	35.18	25
3 1 -1	51.69	20
1 1 -6	55.52	18
1 1 6	60.06	17
0 2 0	51.13	17
1 1 3	39.46	16

Structural model:
Lattice parameters (Å, degrees): 6.107 3.573 11.336 90.00 99.12 90.00
Space group P2/m (No. 10)
Symmetry-distinct sites (fractional):
1 Tb 0.085 0.000 0.230 (multiplicity 2)
2 Tb 0.405 0.500 0.739 (multiplicity 2)
3 Pr 0.500 0.000 0.000 (multiplicity 1)
4 Th 0.000 0.500 0.500 (multiplicity 1)
5 Th 0.500 0.000 0.500 (multiplicity 1)